Simulated XRD peak list of Li3Zn2Ga for Cu Kα (weighted mean of Kα1 and Kα2), from a PBE-relaxed structure.
Peak positions follow from Bragg's law for the DFT cell and can differ from measured ones.

Atomic structure:
```
12
Lattice="6.125 0.000 0.000 0.000 4.378 0.000 -1.408 0.000 6.616" Properties=species:S:1:pos:R:3 pbc="T T T"
Li -0.010 1.095 1.201
Li 0.132 1.095 5.603
Li 1.576 1.095 3.329
Li 3.142 3.284 3.288
Li 4.586 3.284 1.014
Li 4.727 3.284 5.416
Zn 0.034 3.284 3.221
Zn 1.610 3.284 5.408
Zn 3.107 1.095 1.209
Zn 4.684 1.095 3.395
Ga 1.580 3.284 1.074
Ga 3.138 1.095 5.542
```

Most intense lines, 5 to 70 degrees two-theta, in order of rising 2θ:
2theta	Rel. int.
22.0	65.3
25.2	100.0
28.0	41.0
40.9	41.1
41.1	83.5
41.2	42.3
41.7	81.4
45.7	16.8
47.2	16.8
59.5	26.9

Simulated XRD peak list of Pr8Er6Cd for Cu Kα (weighted mean of Kα1 and Kα2), from a PBE-relaxed structure.
Peak positions follow from Bragg's law for the DFT cell and can differ from measured ones.

Atomic structure:
```
15
Lattice="9.418 0.000 0.000 -4.709 8.156 0.000 0.000 0.000 6.514" Properties=species:S:1:pos:R:3 pbc="T T T"
Pr -3.215 6.265 1.179
Pr 0.891 2.240 1.179
Pr 2.385 0.348 5.335
Pr 0.000 5.437 0.964
Pr 4.709 2.719 5.550
Pr 2.324 7.808 1.179
Pr 3.818 5.916 5.335
Pr 7.924 1.891 5.335
Er -2.121 5.292 4.342
Er 1.187 3.673 4.342
Er 3.774 0.809 2.172
Er 0.934 7.347 4.342
Er 3.522 4.483 2.172
Er 6.830 2.864 2.172
Cd 0.000 0.000 3.257
```

Most intense lines, 5 to 70 degrees two-theta, in order of rising 2θ:
2theta	Rel. int.
25.8	15.8
27.4	10.3
29.0	28.8
29.5	18.7
32.1	100.0
33.5	31.4
40.3	9.0
50.8	9.9
51.3	16.8
61.9	11.0

Simulated XRD peak list of BC2 for Cu Kα (weighted mean of Kα1 and Kα2), from a PBE-relaxed structure.
Peak positions follow from Bragg's law for the DFT cell and can differ from measured ones.

Atomic structure:
```
12
Lattice="1.812 -5.664 0.000 1.812 5.664 0.000 -0.107 0.000 3.748" Properties=species:S:1:pos:R:3 pbc="T T T"
B 0.000 0.000 0.000
B 0.951 2.732 1.025
B 2.567 2.732 2.722
B 1.812 -1.622 0.000
C 1.759 3.914 1.874
C 0.854 0.969 2.776
C 0.884 -0.895 1.022
C 1.812 1.823 0.000
C 1.759 0.033 1.874
C 2.663 0.969 0.972
C 2.634 -0.895 2.725
C 1.759 -3.845 1.874
```

Most intense lines, 5 to 70 degrees two-theta, in order of rising 2θ:
2theta	Rel. int.
15.6	16.3
23.7	7.0
25.8	2.7
31.6	6.5
34.3	1.0
34.9	1.8
41.7	94.4
42.6	100.0
53.3	2.2
67.9	1.3

Simulated XRD peak list of DyTmGa2Ni2 for Cu Kα (weighted mean of Kα1 and Kα2), from a PBE-relaxed structure.
Peak positions follow from Bragg's law for the DFT cell and can differ from measured ones.

Atomic structure:
```
6
Lattice="4.264 0.000 0.000 -2.132 3.693 0.000 0.000 0.000 6.977" Properties=species:S:1:pos:R:3 pbc="T T T"
Dy 0.000 0.000 0.000
Tm 0.000 0.000 3.489
Ga 0.000 2.462 1.802
Ga 2.132 1.231 5.176
Ni 0.000 2.462 5.147
Ni 2.132 1.231 1.830
```

Most intense lines, 5 to 70 degrees two-theta, in order of rising 2θ:
2theta	Rel. int.
24.1	21.7
35.4	100.0
42.4	51.0
49.4	3.3
50.1	0.6
52.5	8.8
56.4	25.9
58.5	4.3
67.1	2.9
69.6	22.0

Simulated XRD peak list of Cs5Tl2H for Cu Kα (weighted mean of Kα1 and Kα2), from a PBE-relaxed structure.
Peak positions follow from Bragg's law for the DFT cell and can differ from measured ones.

Atomic structure:
```
8
Lattice="-5.335 5.335 3.730 5.335 -5.335 3.730 5.335 5.335 -3.730" Properties=species:S:1:pos:R:3 pbc="T T T"
Cs 0.000 0.000 0.000
Cs 3.260 3.260 0.000
Cs 2.075 -2.075 3.730
Cs -2.075 2.075 3.730
Cs 2.075 2.075 3.730
Tl 5.335 0.000 1.865
Tl 0.000 5.335 1.865
H 0.000 0.000 3.730
```

Most intense lines, 5 to 70 degrees two-theta, in order of rising 2θ:
2theta	Rel. int.
11.7	27.4
22.1	47.3
23.6	100.0
26.4	37.9
26.7	73.6
27.8	64.1
29.2	74.0
35.9	27.6
43.4	48.0
50.0	37.7

Simulated XRD peak list of Dy6CuRh5 for Cu Kα (weighted mean of Kα1 and Kα2), from a PBE-relaxed structure.
Peak positions follow from Bragg's law for the DFT cell and can differ from measured ones.

Atomic structure:
```
12
Lattice="4.838 0.000 0.000 0.000 6.923 0.000 -2.393 0.000 7.268" Properties=species:S:1:pos:R:3 pbc="T T T"
Dy 0.000 1.712 0.000
Dy 0.000 5.211 0.000
Dy 0.016 1.729 4.827
Dy 0.016 5.194 4.827
Dy 2.429 1.729 2.441
Dy 2.429 5.194 2.441
Cu 2.419 3.461 0.000
Rh 0.011 3.461 2.401
Rh 0.010 0.000 2.438
Rh 2.419 0.000 0.000
Rh 2.435 0.000 4.830
Rh 2.434 3.461 4.867
```

Most intense lines, 5 to 70 degrees two-theta, in order of rising 2θ:
2theta	Rel. int.
25.7	3.3
26.0	6.5
36.9	100.0
37.1	49.2
52.9	8.8
53.4	8.6
53.6	8.5
66.4	17.7
66.7	17.4
66.9	17.3

Simulated XRD peak list of PuGeHIr2 for Cu Kα (weighted mean of Kα1 and Kα2), from a PBE-relaxed structure.
Peak positions follow from Bragg's law for the DFT cell and can differ from measured ones.

Atomic structure:
```
10
Lattice="1.984 -5.437 0.000 1.984 5.437 0.000 0.000 0.000 7.139" Properties=species:S:1:pos:R:3 pbc="T T T"
Pu 1.984 4.770 5.354
Pu 1.984 -4.770 1.785
Ge 1.984 3.048 1.785
Ge 1.984 -3.048 5.354
H 1.984 0.000 0.000
H 1.984 0.000 3.569
Ir 1.984 1.721 3.933
Ir 1.984 1.721 6.775
Ir 1.984 -1.721 0.363
Ir 1.984 -1.721 3.206
```

Most intense lines, 5 to 70 degrees two-theta, in order of rising 2θ:
2theta	Rel. int.
29.9	22.3
33.5	63.2
34.8	100.0
35.3	42.5
35.8	51.4
41.4	34.5
42.2	22.3
45.7	35.3
62.4	27.3
63.4	20.1